(1)
Starting from a structure optimized by DFT (PBE), the powder X-ray diffraction pattern of CdP2H8O10 was computed for Cu Kα (λ = 1.5418 Å).

Crystal structure
a = 5.465 Å, b = 10.584 Å, c = 8.887 Å
α = 90.00°, β = 124.70°, γ = 90.00°
Space group P2_1/c (No. 14)
Inequivalent atoms, fractional coordinates:
Cd  0.000  0.000  0.000 [2 per cell]
P  0.085  0.218  0.332 [4 per cell]
H  0.124  0.728  0.016 [4 per cell]
H  0.372  0.077  0.812 [4 per cell]
H  0.381  0.548  0.217 [4 per cell]
H  0.414  0.105  0.581 [4 per cell]
O  0.036  0.678  0.364 [4 per cell]
O  0.148  0.140  0.864 [4 per cell]
O  0.154  0.680  0.127 [4 per cell]
O  0.374  0.137  0.462 [4 per cell]
O  0.484  0.035  0.767 [4 per cell]

Principal peaks in the range 10 to 90 degrees two-theta, low angle first:
14.73 deg, I 100, hkl 0 1 1
18.29 deg, I 75, hkl 1 1 -1
19.76 deg, I 84, hkl 1 0 0
26.87 deg, I 93, hkl 1 2 -2
28.09 deg, I 47, hkl 0 3 1
29.88 deg, I 46, hkl 1 1 1

=====

(2)
Starting from a structure optimized by DFT (PBE), the powder X-ray diffraction pattern of CdH2PtO4 was computed for Cu Kα (λ = 1.5418 Å).

Crystal structure
a = 4.972 Å, b = 6.574 Å, c = 6.792 Å
α = 90.00°, β = 90.00°, γ = 90.00°
Space group Immm (No. 71)
Inequivalent atoms, fractional coordinates:
Cd  0.000  0.000  0.000 [2 per cell]
H  0.000  0.206  0.500 [4 per cell]
Pt  0.000  0.500  0.000 [2 per cell]
O  0.242  0.220  0.500 [8 per cell]

Principal peaks in the range 10 to 90 degrees two-theta, low angle first:
22.16 deg, I 100, hkl 1 0 1
26.24 deg, I 54, hkl 0 0 2
35.30 deg, I 67, hkl 1 2 1
45.76 deg, I 22, hkl 2 2 0
52.41 deg, I 21, hkl 1 2 3
53.52 deg, I 26, hkl 2 2 2

=====

(3)
Starting from a structure optimized by DFT (PBE), the powder X-ray diffraction pattern of Cd2H2SO6 was computed for Cu Kα (λ = 1.5418 Å).

Crystal structure
a = 11.849 Å, b = 7.856 Å, c = 6.603 Å
α = 90.00°, β = 117.67°, γ = 90.00°
Space group C2/c (No. 15)
Inequivalent atoms, fractional coordinates:
Cd  0.246  0.097  0.184 [8 per cell]
H  0.092  0.145  0.686 [8 per cell]
S  0.000  0.312  0.250 [4 per cell]
O  0.038  0.205  0.105 [8 per cell]
O  0.110  0.423  0.404 [8 per cell]
O  0.182  0.135  0.798 [8 per cell]

Principal peaks in the range 10 to 90 degrees two-theta, low angle first:
16.90 deg, I 96, hkl 2 0 0
23.48 deg, I 34, hkl 1 1 1
27.35 deg, I 34, hkl 0 2 1
28.24 deg, I 100, hkl 2 2 -1
34.18 deg, I 32, hkl 4 0 0
38.05 deg, I 32, hkl 4 2 -1